(1)
Starting from the GGA-PBE geometry in the Materials Project, the powder X-ray diffraction pattern of LaB4 was simulated for Cu Kα, 1.54184 Å.

Peak list (10 most intense, 2θ from 10° to 90°, sorted by position)
Position (°2θ)  intensity
21.2  55
24.4  38
27.3  73
32.5  58
34.8  100
44.8  20
51.5  31
51.9  26
56.4  35
69.5  25

Structure:
Lattice parameters (Å, degrees): 7.311 7.311 4.183 90.00 90.00 90.00
Atoms (fractional coordinates):
La: 0.184 0.316 0.000
La: 0.316 0.816 0.000
La: 0.684 0.184 0.000
La: 0.816 0.684 0.000
B: 0.000 0.000 0.206
B: 0.000 0.000 0.794
B: 0.039 0.826 0.500
B: 0.089 0.589 0.500
B: 0.174 0.039 0.500
B: 0.326 0.539 0.500
B: 0.411 0.089 0.500
B: 0.461 0.326 0.500
B: 0.500 0.500 0.206
B: 0.500 0.500 0.794
B: 0.539 0.674 0.500
B: 0.589 0.911 0.500
B: 0.674 0.461 0.500
B: 0.826 0.961 0.500
B: 0.911 0.411 0.500
B: 0.961 0.174 0.500

=====

(2)
Starting from the GGA-PBE geometry in the Materials Project, the powder X-ray diffraction pattern of Zn3Sn3Se9NO4 was simulated for Cu Kα, 1.54184 Å.

Peak list (10 most intense, 2θ from 10° to 90°, sorted by position)
Position (°2θ)  intensity
15.5  71
17.6  84
18.8  45
19.0  49
25.4  59
27.7  100
27.9  91
29.4  56
36.0  50
36.2  46

Structure:
Lattice parameters (Å, degrees): 7.637 7.845 10.234 105.53 108.57 95.69
Atoms (fractional coordinates):
Zn: 0.000 0.000 0.000
Zn: 0.170 0.483 0.713
Zn: 0.782 0.531 0.347
Sn: 0.201 0.919 0.487
Sn: 0.482 0.233 0.948
Sn: 0.605 0.293 0.602
Se: 0.121 0.564 0.344
Se: 0.275 0.465 0.952
Se: 0.295 0.893 0.816
Se: 0.353 0.520 0.562
Se: 0.548 0.958 0.456
Se: 0.593 0.224 0.212
Se: 0.799 0.311 0.891
Se: 0.859 0.546 0.609
Se: 0.873 0.004 0.231
N: 0.748 0.761 0.315
O: 0.058 0.134 0.214
O: 0.184 0.884 0.944
O: 0.806 0.851 0.062
O: 0.852 0.096 0.853

=====

(3)
Starting from the GGA-PBE geometry in the Materials Project, the powder X-ray diffraction pattern of LiAl4Zn2O8 was simulated for Cu Kα, 1.54184 Å.

Peak list (10 most intense, 2θ from 10° to 90°, sorted by position)
Position (°2θ)  intensity
18.2  83
18.7  26
31.4  26
32.4  83
36.1  100
36.4  35
38.0  37
44.7  55
45.4  23
60.1  56

Structure:
Lattice parameters (Å, degrees): 6.236 6.236 6.236 125.66 124.74 81.20
Atoms (fractional coordinates):
Li: 0.000 0.000 0.000
Al: 0.242 0.242 0.000
Al: 0.457 0.957 0.500
Al: 0.786 0.040 0.255
Al: 0.786 0.531 0.745
Zn: 0.298 0.566 0.732
Zn: 0.834 0.566 0.268
O: 0.045 0.330 0.714
O: 0.067 0.851 0.217
O: 0.125 0.370 0.245
O: 0.125 0.880 0.755
O: 0.589 0.333 0.744
O: 0.589 0.846 0.256
O: 0.616 0.330 0.286
O: 0.634 0.851 0.783

=====

(4)
Starting from the GGA-PBE geometry in the Materials Project, the powder X-ray diffraction pattern of K2TlSbF6 was simulated for Cu Kα, 1.54184 Å.

Peak list (10 most intense, 2θ from 10° to 90°, sorted by position)
Position (°2θ)  intensity
18.4  67
26.1  100
37.2  39
41.8  32
46.0  42
53.6  25
57.2  16
60.6  20
73.3  22
85.2  11

Structure:
Lattice parameters (Å, degrees): 6.837 6.837 6.837 60.00 60.00 60.00
Atoms (fractional coordinates):
K: 0.250 0.250 0.250
K: 0.750 0.750 0.750
Tl: 0.000 0.000 0.000
Sb: 0.500 0.500 0.500
F: 0.273 0.273 0.727
F: 0.273 0.727 0.273
F: 0.273 0.727 0.727
F: 0.727 0.273 0.273
F: 0.727 0.273 0.727
F: 0.727 0.727 0.273

=====

(5)
Starting from the GGA-PBE geometry in the Materials Project, the powder X-ray diffraction pattern of K2La2MgTi2O8 was simulated for Cu Kα, 1.54184 Å.

Peak list (10 most intense, 2θ from 10° to 90°, sorted by position)
Position (°2θ)  intensity
11.2  59
23.8  34
25.8  88
28.7  32
32.4  100
33.0  74
36.7  52
40.2  43
47.3  51
58.5  33

Structure:
Lattice parameters (Å, degrees): 3.844 3.844 15.855 90.00 90.00 90.00
Atoms (fractional coordinates):
K: 0.000 0.500 0.079
K: 0.500 0.000 0.921
La: 0.000 0.500 0.347
La: 0.500 0.000 0.653
Mg: 0.000 0.000 0.500
Ti: 0.000 0.500 0.785
Ti: 0.500 0.000 0.215
O: 0.000 0.000 0.258
O: 0.000 0.000 0.742
O: 0.000 0.500 0.567
O: 0.000 0.500 0.898
O: 0.500 0.000 0.102
O: 0.500 0.000 0.433
O: 0.500 0.500 0.258
O: 0.500 0.500 0.742

=====

(6)
Starting from the GGA-PBE geometry in the Materials Project, the powder X-ray diffraction pattern of Ta2NbTeI7 was simulated for Cu Kα, 1.54184 Å.

Peak list (10 most intense, 2θ from 10° to 90°, sorted by position)
Position (°2θ)  intensity
12.1  71
13.3  22
27.4  20
29.5  100
32.6  64
36.5  17
41.1  43
46.2  20
47.2  36
53.8  16

Structure:
Lattice parameters (Å, degrees): 7.698 7.698 14.605 90.11 90.11 60.02
Atoms (fractional coordinates):
Ta: 0.000 0.000 0.000
Ta: 0.263 0.263 0.500
Ta: 0.263 0.871 0.500
Ta: 0.871 0.263 0.500
Nb: 0.001 0.395 0.001
Nb: 0.395 0.001 0.001
Te: 0.131 0.131 0.857
Te: 0.132 0.132 0.356
I: 0.130 0.633 0.396
I: 0.134 0.633 0.895
I: 0.297 0.797 0.128
I: 0.299 0.299 0.129
I: 0.466 0.466 0.600
I: 0.466 0.965 0.628
I: 0.631 0.631 0.894
I: 0.633 0.130 0.396
I: 0.633 0.134 0.895
I: 0.633 0.633 0.396
I: 0.797 0.297 0.128
I: 0.799 0.799 0.101
I: 0.965 0.466 0.628
I: 0.965 0.965 0.628